This entry pairs a crystal structure of Nd4SnSbN with its simulated X-ray powder pattern. Radiation: Cu Kα (weighted mean of Kα1 and Kα2). Structure: a PBE-relaxed structure.
Kinematic intensities with the Lorentz-polarization factor, no thermal factor.

Principal peaks in the range 5 to 70 degrees two-theta, in order of rising 2θ:
28.01°, 3.186 Å, rel. 76; 32.38°, 2.765 Å, rel. 34; 33.79°, 2.653 Å, rel. 100; 36.84°, 2.440 Å, rel. 62; 49.84°, 1.830 Å, rel. 40; 53.08°, 1.725 Å, rel. 25; 63.56°, 1.464 Å, rel. 19; 64.42°, 1.446 Å, rel. 31

Structural model:
```
data_Nd4SnSbN
_chemical_formula_sum 'Nd16 Sn4 Sb4 N4'
_space_group_name_H-M_alt 'C m c m'
_space_group_IT_number 63
_space_group_name_Hall '-C 2c 2'
_cell_length_a 6.9046
_cell_length_b 16.5902
_cell_length_c 6.8983
_cell_angle_alpha 90.00
_cell_angle_beta 90.00
_cell_angle_gamma 90.00
loop_
_atom_site_label
_atom_site_fract_x
_atom_site_fract_y
_atom_site_fract_z
Nd1 0.0000 0.0874 0.2500
Nd2 0.0000 0.4122 0.2500
Nd3 0.2500 0.2500 0.0000
Sn1 0.0000 0.1077 0.7500
Sb1 0.0000 0.3911 0.7500
N1 0.0000 0.2502 0.2500
```